Ca2MoO5: computed X-ray diffraction stick pattern (copper Kα), based on a DFT-relaxed cell (GGA+U, Alexandria).

The 10 most intense peaks (10 to 90 degrees two-theta), most intense first:
two_theta  d (Å)  I/Imax
22.78  3.904  100
16.47  5.383  72
27.32  3.264  41
34.35  2.611  35
50.31  1.814  31
31.53  2.838  27
41.40  2.181  25
32.55  2.751  20
42.22  2.141  19
17.40  5.098  13

a b c (Å): 5.7496 5.7496 6.5390
angles (deg): 121.69 121.69 44.58
Atoms (fractional coordinates):
Ca: 0.1940 0.1940 0.2429
Ca: 0.8060 0.8060 0.7571
Mo: 0.9365 0.0635 0.5000
O: 0.0638 0.0261 0.8203
O: 0.2143 0.2127 0.6294
O: 0.5236 0.4764 0.5000
O: 0.7873 0.7857 0.3706
O: 0.9739 0.9362 0.1797